Simulated powder diffractogram
Compound: SmHoErTh2
Radiation: CuKα
Structure: a structure optimized by DFT (GGA-PBE)
No peak broadening, texture or thermal motion is included.

Most intense lines, 2θ from 15° to 90°, most intense first:
29.19°, 3.060 Å, I = 100, (2 2 0); 38.28°, 2.351 Å, I = 41, (2 0 2); 34.45°, 2.603 Å, I = 39, (0 6 0); 35.45°, 2.532 Å, I = 33, (2 4 0); 52.43°, 1.745 Å, I = 30, (2 6 2); 63.70°, 1.461 Å, I = 23, (4 2 2); 25.52°, 3.491 Å, I = 17, (1 3 1); 66.06°, 1.414 Å, I = 17, (2 10 0)

Structural model:
```
data_SmHoErTh2
_space_group_name_H-M_alt 'C m c m'
_space_group_IT_number 63
_space_group_name_Hall '-C 2c 2'
_cell_length_a 6.6503
_cell_length_b 15.6267
_cell_length_c 6.6515
_cell_angle_alpha 90.00
_cell_angle_beta 90.00
_cell_angle_gamma 90.00
loop_
_atom_site_label
_atom_site_fract_x
_atom_site_fract_y
_atom_site_fract_z
Sm1 0.0000 0.1525 0.2500
Ho1 0.0000 0.2542 0.7500
Er1 0.0000 0.3484 0.2500
Th1 0.2483 0.5000 0.0000
```